Calculated XRD peak list
Compound: Ag3SnCl8
Radiation: Cu Kα (λ = 1.5418 Å)
Structure: the GGA-PBE geometry in Alexandria
Peak positions follow from Bragg's law for the DFT cell and can differ from measured ones.

Top 6 peaks for 10° ≤ 2θ ≤ 80°, sorted by position:
- (1 1 0), 2θ = 14.46°, d = 6.125 Å, I 100.0
- (1 1 1), 2θ = 18.45°, d = 4.809 Å, I 85.1
- (1 1 2), 2θ = 27.19°, d = 3.280 Å, I 43.9
- (0 4 0), 2θ = 30.47°, d = 2.934 Å, I 57.2
- (2 0 2), 2θ = 34.01°, d = 2.636 Å, I 93.3
- (2 4 2), 2θ = 46.30°, d = 1.961 Å, I 64.5

Atomic structure:
Unit cell a=7.1807 b=11.7362 c=7.7661 alpha=90.00 beta=90.00 gamma=90.00
Space group C222 (No. 21)
One atom of each set of equivalent atoms:
Ag1 0.0000 0.0000 0.0000 (multiplicity 2)
Ag2 0.2500 0.2500 0.7633 (multiplicity 4)
Sn1 0.0000 0.0000 0.5000 (multiplicity 2)
Cl1 0.0000 0.2144 0.5000 (multiplicity 4)
Cl2 0.0000 0.2181 0.0000 (multiplicity 4)
Cl3 0.2473 0.0056 0.7203 (multiplicity 8)